1.
This entry pairs a crystal structure of La2Nd2CI4Br with its simulated X-ray powder pattern. Radiation: a wavelength of 1.5418 Å. Structure: a GGA-PBE-relaxed structure.

Main lines, in order of falling intensity (10° ≤ 2θ ≤ 90°):
Position (°2θ)  d/Å  intensity
30.00  2.978  100
28.19  3.165  50
41.58  2.172  40
32.15  2.784  32
41.71  2.166  32
29.23  3.055  21
44.27  2.046  20
10.46  8.459  19
26.77  3.330  17
53.32  1.718  17

Cell and atoms:
Cell: 9.9621 9.9621 8.6856 Å, 102.84 102.84 23.70°
Fractional coordinates of all 10 atoms:
La1 0.1362 0.1362 0.0747
La2 0.8638 0.8638 0.9253
Nd1 0.4984 0.4984 0.2006
Nd2 0.5016 0.5016 0.7994
C1 0.0000 0.0000 0.0000
I1 0.3302 0.3302 0.1866
I2 0.3379 0.3379 0.6352
I3 0.6621 0.6621 0.3648
I4 0.6698 0.6698 0.8134
Br1 0.0000 0.0000 0.5000

***

2.
This entry pairs a crystal structure of KW2S2Br6 with its simulated X-ray powder pattern. Radiation: a wavelength of 1.5418 Å. Structure: a GGA-PBE-relaxed structure.

Main lines, in order of falling intensity (10° ≤ 2θ ≤ 90°):
Position (°2θ)  d/Å  intensity
20.51  4.331  100
10.52  8.411  71
31.92  2.804  71
13.14  6.736  66
41.74  2.164  50
51.56  1.772  48
39.41  2.286  35
21.11  4.209  21
41.93  2.155  16
43.93  2.061  16

Cell and atoms:
Cell: 8.9210 8.9210 8.9210 Å, 150.30 105.77 81.93°
Fractional coordinates of all 11 atoms:
K1 0.0000 0.0000 0.0000
W1 0.3594 0.5000 0.8594
W2 0.6406 0.5000 0.1406
S1 0.3568 0.0000 0.3568
S2 0.6432 0.0000 0.6432
Br1 0.0502 0.3694 0.6807
Br2 0.3113 0.6306 0.6807
Br3 0.3454 0.3454 0.0000
Br4 0.6546 0.6546 0.0000
Br5 0.6887 0.3694 0.3193
Br6 0.9498 0.6306 0.3193

***

3.
This entry pairs a crystal structure of ZnH6C10N2Cl6 with its simulated X-ray powder pattern. Radiation: a wavelength of 1.5418 Å. Structure: a GGA-PBE-relaxed structure.

Main lines, in order of falling intensity (10° ≤ 2θ ≤ 90°):
Position (°2θ)  d/Å  intensity
28.42  3.140  100
20.18  4.399  70
18.03  4.919  42
33.87  2.647  36
36.54  2.459  34
41.37  2.183  23
25.61  3.478  20
51.07  1.788  18
24.47  3.637  18
12.73  6.956  15

Cell and atoms:
Cell: 13.9120 13.9120 3.6374 Å, 90.00 90.00 90.00°
Fractional coordinates of all 50 atoms:
Zn1 0.0000 0.5000 0.0000
Zn2 0.5000 0.0000 0.0000
H1 0.0161 0.2829 0.1725
H2 0.1903 0.6903 0.0000
H3 0.2171 0.4839 0.8275
H4 0.2829 0.9839 0.8275
H5 0.3097 0.1903 0.0000
H6 0.4839 0.7829 0.1725
H7 0.5161 0.2171 0.1725
H8 0.6903 0.8097 0.0000
H9 0.7171 0.0161 0.8275
H10 0.7829 0.5161 0.8275
H11 0.8097 0.3097 0.0000
H12 0.9839 0.7171 0.1725
C1 0.0904 0.2971 0.0955
C2 0.1601 0.2251 0.1022
C3 0.2029 0.4096 0.9045
C4 0.2251 0.8399 0.8978
C5 0.2456 0.7456 0.0000
C6 0.2544 0.2456 0.0000
C7 0.2749 0.3399 0.8978
C8 0.2971 0.9096 0.9045
C9 0.3399 0.7251 0.1022
C10 0.4096 0.7971 0.0955
C11 0.5904 0.2029 0.0955
C12 0.6601 0.2749 0.1022
C13 0.7029 0.0904 0.9045
C14 0.7251 0.6601 0.8978
C15 0.7456 0.7544 0.0000
C16 0.7544 0.2544 0.0000
C17 0.7749 0.1601 0.8978
C18 0.7971 0.5904 0.9045
C19 0.8399 0.7749 0.1022
C20 0.9096 0.7029 0.0955
N1 0.1124 0.3876 0.0000
N2 0.3876 0.8876 0.0000
N3 0.6124 0.1124 0.0000
N4 0.8876 0.6124 0.0000
Cl1 0.0867 0.5867 0.5000
Cl2 0.1106 0.8713 0.7615
Cl3 0.1287 0.1106 0.2385
Cl4 0.3713 0.6106 0.2385
Cl5 0.3894 0.3713 0.7615
Cl6 0.4133 0.0867 0.5000
Cl7 0.5867 0.9133 0.5000
Cl8 0.6106 0.6287 0.7615
Cl9 0.6287 0.3894 0.2385
Cl10 0.8713 0.8894 0.2385
Cl11 0.8894 0.1287 0.7615
Cl12 0.9133 0.4133 0.5000

***

4.
This entry pairs a crystal structure of Sn8Pd2Se with its simulated X-ray powder pattern. Radiation: a wavelength of 1.5418 Å. Structure: a GGA-PBE-relaxed structure.

Main lines, in order of falling intensity (10° ≤ 2θ ≤ 90°):
Position (°2θ)  d/Å  intensity
32.26  2.775  100
38.82  2.320  30
27.18  3.280  23
39.81  2.264  21
36.78  2.443  21
42.65  2.120  15
54.53  1.683  15
44.52  2.035  14
35.71  2.515  13
37.78  2.381  12

Cell and atoms:
Cell: 10.3669 10.3669 10.4000 Å, 90.00 90.00 90.00°
Fractional coordinates of all 44 atoms:
Sn1 0.0000 0.0000 0.2059
Sn2 0.0000 0.0000 0.7941
Sn3 0.0354 0.2976 0.3195
Sn4 0.0354 0.2976 0.6805
Sn5 0.1037 0.8963 0.5000
Sn6 0.1592 0.8408 0.0000
Sn7 0.1615 0.1615 0.0000
Sn8 0.2024 0.5354 0.1805
Sn9 0.2024 0.5354 0.8195
Sn10 0.2976 0.0354 0.3195
Sn11 0.2976 0.0354 0.6805
Sn12 0.3385 0.6615 0.5000
Sn13 0.3408 0.3408 0.5000
Sn14 0.3963 0.3963 0.0000
Sn15 0.4646 0.7976 0.1805
Sn16 0.4646 0.7976 0.8195
Sn17 0.5000 0.5000 0.2941
Sn18 0.5000 0.5000 0.7059
Sn19 0.5354 0.2024 0.1805
Sn20 0.5354 0.2024 0.8195
Sn21 0.6037 0.6037 0.0000
Sn22 0.6592 0.6592 0.5000
Sn23 0.6615 0.3385 0.5000
Sn24 0.7024 0.9646 0.3195
Sn25 0.7024 0.9646 0.6805
Sn26 0.7976 0.4646 0.1805
Sn27 0.7976 0.4646 0.8195
Sn28 0.8385 0.8385 0.0000
Sn29 0.8408 0.1592 0.0000
Sn30 0.8963 0.1037 0.5000
Sn31 0.9646 0.7024 0.3195
Sn32 0.9646 0.7024 0.6805
Pd1 0.2190 0.7810 0.2660
Pd2 0.2190 0.7810 0.7340
Pd3 0.2810 0.2810 0.2340
Pd4 0.2810 0.2810 0.7660
Pd5 0.7190 0.7190 0.2340
Pd6 0.7190 0.7190 0.7660
Pd7 0.7810 0.2190 0.2660
Pd8 0.7810 0.2190 0.7340
Se1 0.0000 0.5000 0.0000
Se2 0.0000 0.5000 0.5000
Se3 0.5000 0.0000 0.0000
Se4 0.5000 0.0000 0.5000

***

5.
This entry pairs a crystal structure of Cu9Ag with its simulated X-ray powder pattern. Radiation: a wavelength of 1.5418 Å. Structure: a GGA-PBE-relaxed structure.

Main lines, in order of falling intensity (10° ≤ 2θ ≤ 90°):
Position (°2θ)  d/Å  intensity
42.54  2.125  100
42.72  2.117  98
49.13  1.854  65
73.23  1.293  34
50.64  1.803  29
87.27  1.117  22
89.72  1.093  14
87.68  1.113  11
87.59  1.114  10
71.77  1.315  10

Cell and atoms:
Cell: 6.3471 2.6305 7.6735 Å, 90.00 104.60 90.00°
Fractional coordinates of all 10 atoms:
Cu1 0.0000 0.0000 0.0000
Cu2 0.0982 0.5000 0.2933
Cu3 0.1862 0.0000 0.6038
Cu4 0.2976 0.5000 0.8962
Cu5 0.3962 0.0000 0.1843
Cu6 0.6038 0.0000 0.8157
Cu7 0.7024 0.5000 0.1038
Cu8 0.8138 0.0000 0.3962
Cu9 0.9018 0.5000 0.7067
Ag1 0.5000 0.5000 0.5000

***

6.
This entry pairs a crystal structure of TmLu2Ge4Pd4 with its simulated X-ray powder pattern. Radiation: a wavelength of 1.5418 Å. Structure: a GGA-PBE-relaxed structure.

Main lines, in order of falling intensity (10° ≤ 2θ ≤ 90°):
Position (°2θ)  d/Å  intensity
33.96  2.640  100
36.16  2.484  87
43.91  2.062  38
42.97  2.105  34
34.77  2.580  30
38.75  2.324  23
63.12  1.473  21
39.02  2.308  16
76.08  1.251  15
57.18  1.611  14

Cell and atoms:
Cell: 8.0490 8.0490 8.0490 Å, 150.31 127.70 61.30°
Fractional coordinates of all 11 atoms:
Tm1 0.0000 0.0000 0.0000
Lu1 0.3746 0.8746 0.5000
Lu2 0.6254 0.1254 0.5000
Ge1 0.2185 0.2185 0.0000
Ge2 0.3125 0.5000 0.8125
Ge3 0.6875 0.5000 0.1875
Ge4 0.7815 0.7815 0.0000
Pd1 0.0271 0.3256 0.7016
Pd2 0.3760 0.6744 0.7016
Pd3 0.6240 0.3256 0.2984
Pd4 0.9729 0.6744 0.2984

***

7.
This entry pairs a crystal structure of PmIr with its simulated X-ray powder pattern. Radiation: a wavelength of 1.5418 Å. Structure: a GGA-PBE-relaxed structure.

Main lines, in order of falling intensity (10° ≤ 2θ ≤ 90°):
Position (°2θ)  d/Å  intensity
39.71  2.270  100
31.73  2.820  83
33.22  2.697  39
43.01  2.103  25
44.64  2.030  22
61.22  1.514  20
55.40  1.658  18
63.72  1.461  16
80.79  1.190  16
76.59  1.244  15

Cell and atoms:
Cell: 4.0600 10.8035 4.2061 Å, 90.00 90.00 90.00°
Fractional coordinates of all 8 atoms:
Pm1 0.0000 0.1458 0.2500
Pm2 0.0000 0.8542 0.7500
Pm3 0.5000 0.3542 0.7500
Pm4 0.5000 0.6458 0.2500
Ir1 0.0000 0.4238 0.2500
Ir2 0.0000 0.5762 0.7500
Ir3 0.5000 0.0762 0.7500
Ir4 0.5000 0.9238 0.2500

***

8.
This entry pairs a crystal structure of Gd2YCu2B2N3 with its simulated X-ray powder pattern. Radiation: a wavelength of 1.5418 Å. Structure: a GGA-PBE-relaxed structure.

Main lines, in order of falling intensity (10° ≤ 2θ ≤ 90°):
Position (°2θ)  d/Å  intensity
33.62  2.666  100
28.57  3.124  99
40.34  2.236  87
35.12  2.555  72
52.02  1.758  52
37.22  2.416  50
64.32  1.448  47
36.13  2.486  44
63.38  1.468  33
25.71  3.465  29

Cell and atoms:
Cell: 10.5190 10.5190 10.5190 Å, 160.76 160.76 27.34°
Fractional coordinates of all 10 atoms:
Gd1 0.1215 0.1215 0.0000
Gd2 0.8785 0.8785 0.0000
Y1 0.5000 0.5000 0.0000
Cu1 0.2500 0.7500 0.5000
Cu2 0.7500 0.2500 0.5000
B1 0.3154 0.3154 0.0000
B2 0.6846 0.6846 0.0000
N1 0.0000 0.0000 0.0000
N2 0.3858 0.3858 0.0000
N3 0.6142 0.6142 0.0000

***

9.
This entry pairs a crystal structure of Na3PaS4 with its simulated X-ray powder pattern. Radiation: a wavelength of 1.5418 Å. Structure: a GGA-PBE-relaxed structure.

Main lines, in order of falling intensity (10° ≤ 2θ ≤ 90°):
Position (°2θ)  d/Å  intensity
13.49  6.563  100
31.10  2.875  53
25.66  3.471  36
45.13  2.009  35
15.78  5.616  29
31.87  2.808  24
35.06  2.559  17
40.89  2.207  16
26.23  3.397  15
21.98  4.043  14

Cell and atoms:
Cell: 8.0864 11.2318 4.0900 Å, 90.00 90.00 90.00°
Fractional coordinates of all 16 atoms:
Na1 0.0000 0.0000 0.0000
Na2 0.2500 0.2500 0.5000
Na3 0.2500 0.7500 0.5000
Na4 0.5000 0.5000 0.0000
Na5 0.7500 0.2500 0.5000
Na6 0.7500 0.7500 0.5000
Pa1 0.0000 0.5000 0.0000
Pa2 0.5000 0.0000 0.0000
S1 0.0000 0.2726 0.0000
S2 0.0000 0.7274 0.0000
S3 0.2232 0.5000 0.5000
S4 0.2768 0.0000 0.5000
S5 0.5000 0.2274 0.0000
S6 0.5000 0.7726 0.0000
S7 0.7232 0.0000 0.5000
S8 0.7768 0.5000 0.5000

***

10.
This entry pairs a crystal structure of HoSnSbI2 with its simulated X-ray powder pattern. Radiation: a wavelength of 1.5418 Å. Structure: a GGA-PBE-relaxed structure.

Main lines, in order of falling intensity (10° ≤ 2θ ≤ 90°):
Position (°2θ)  d/Å  intensity
28.13  3.172  100
39.33  2.291  39
41.06  2.198  35
50.51  1.807  20
67.05  1.396  17
64.60  1.443  16
58.16  1.586  12
73.64  1.286  12
23.36  3.808  8
33.20  2.698  8

Cell and atoms:
Cell: 4.3967 4.3967 11.4732 Å, 90.00 90.00 120.00°
Fractional coordinates of all 5 atoms:
Ho1 0.0000 0.0000 0.0000
Sn1 0.6667 0.3333 0.6894
Sb1 0.3333 0.6667 0.8533
I1 0.0000 0.0000 0.5169
I2 0.6667 0.3333 0.1661

***

11.
This entry pairs a crystal structure of SrMg2ZnGa with its simulated X-ray powder pattern. Radiation: a wavelength of 1.5418 Å. Structure: a GGA-PBE-relaxed structure.

Main lines, in order of falling intensity (10° ≤ 2θ ≤ 90°):
Position (°2θ)  d/Å  intensity
31.81  2.813  100
29.88  2.991  89
42.69  2.118  78
28.02  3.185  76
40.04  2.252  72
59.96  1.543  55
50.75  1.799  39
14.76  6.000  24
57.91  1.592  23
67.61  1.386  21

Cell and atoms:
Cell: 4.5037 4.5037 12.0002 Å, 90.00 90.00 90.00°
Fractional coordinates of all 10 atoms:
Sr1 0.0000 0.0000 0.0000
Sr2 0.5000 0.5000 0.5000
Mg1 0.0000 0.5000 0.2514
Mg2 0.0000 0.5000 0.7514
Mg3 0.5000 0.0000 0.2514
Mg4 0.5000 0.0000 0.7514
Zn1 0.0000 0.0000 0.6077
Zn2 0.5000 0.5000 0.1077
Ga1 0.0000 0.0000 0.3944
Ga2 0.5000 0.5000 0.8944

***

12.
This entry pairs a crystal structure of Cd2Re2As3P with its simulated X-ray powder pattern. Radiation: a wavelength of 1.5418 Å. Structure: a GGA-PBE-relaxed structure.

Main lines, in order of falling intensity (10° ≤ 2θ ≤ 90°):
Position (°2θ)  d/Å  intensity
26.79  3.328  100
26.35  3.382  90
43.16  2.096  40
44.74  2.026  38
17.01  5.212  21
43.78  2.068  20
44.89  2.019  19
51.64  1.770  17
54.19  1.693  17
50.67  1.802  16

Cell and atoms:
Cell: 12.5642 5.8759 5.9847 Å, 90.00 117.08 90.00°
Fractional coordinates of all 16 atoms:
Cd1 0.1192 0.0000 0.3567
Cd2 0.3808 0.5000 0.6433
Cd3 0.6192 0.5000 0.3567
Cd4 0.8808 0.0000 0.6433
Re1 0.1216 0.4784 0.8738
Re2 0.3784 0.9784 0.1262
Re3 0.6216 0.9784 0.8738
Re4 0.8784 0.4784 0.1262
As1 0.0000 0.6851 0.5000
As2 0.2500 0.2252 0.7974
As3 0.2500 0.7252 0.2026
As4 0.5000 0.1851 0.5000
As5 0.7500 0.2252 0.2026
As6 0.7500 0.7252 0.7974
P1 0.0000 0.2974 0.0000
P2 0.5000 0.7974 0.0000